1.
Simulated X-ray powder pattern of Ti2ZnO4 for Cu Kα X-rays, from DFT lattice parameters and positions (GGA-PBE).
Kinematic intensities with the Lorentz-polarization factor, no thermal factor.

Crystal structure
```
data_Ti2ZnO4
_chemical_formula_sum 'Ti8 Zn4 O16'
_cell_length_a 5.9977
_cell_length_b 6.1274
_cell_length_c 8.6876
_cell_angle_alpha 90.00
_cell_angle_beta 90.00
_cell_angle_gamma 90.00
_symmetry_space_group_name_H-M 'I m m a'
_symmetry_Int_Tables_number 74
_symmetry_space_group_name_Hall '-I 2b 2'
loop_
_atom_site_label
_atom_site_type_symbol
_atom_site_fract_x
_atom_site_fract_y
_atom_site_fract_z
_atom_site_occupancy
Ti1 Ti 0.0000 0.2500 0.1189 1
Ti2 Ti 0.2500 0.2500 0.7500 1
Zn1 Zn 0.0000 0.0000 0.5000 1
O1 O 0.0000 0.0091 0.7559 1
O2 O 0.2420 0.2500 0.5083 1
```

Top 8 peaks for 15° ≤ 2θ ≤ 90°, in order of rising 2θ:
hkl, 2theta, I/Imax
1 0 1, 17.97, 20
1 1 2, 29.27, 22
0 1 3, 34.25, 20
1 0 3, 34.43, 100
2 1 1, 34.87, 37
2 2 0, 42.17, 31
3 2 1, 55.92, 24
2 2 4, 60.71, 51

2.
Simulated X-ray powder pattern of Ba3HfTa4O15 for Cu Kα X-rays, from DFT lattice parameters and positions (GGA-PBE).
Kinematic intensities with the Lorentz-polarization factor, no thermal factor.

Crystal structure
```
data_Ba3HfTa4O15
_chemical_formula_sum 'Ba6 Hf2 Ta8 O30'
_cell_length_a 4.0269
_cell_length_b 12.8293
_cell_length_c 12.8321
_cell_angle_alpha 90.00
_cell_angle_beta 90.12
_cell_angle_gamma 90.00
_symmetry_space_group_name_H-M 'P 1 c 1'
_symmetry_Int_Tables_number 7
_symmetry_space_group_name_Hall 'P -2yc'
loop_
_atom_site_label
_atom_site_type_symbol
_atom_site_fract_x
_atom_site_fract_y
_atom_site_fract_z
_atom_site_occupancy
Ba1 Ba 0.0000 0.0756 0.0000 1
Ba2 Ba 0.9945 0.2490 0.3313 1
Ba3 Ba 0.9987 0.4228 0.6588 1
Hf1 Hf 0.4987 0.1707 0.5455 1
Ta1 Ta 0.4887 0.0368 0.2533 1
Ta2 Ta 0.4887 0.3246 0.1164 1
Ta3 Ta 0.4898 0.4614 0.4063 1
Ta4 Ta 0.5211 0.2522 0.8274 1
O1 O 0.4920 0.2632 0.6752 1
O2 O 0.4940 0.0951 0.8282 1
O3 O 0.4935 0.2476 0.9844 1
O4 O 0.4968 0.4055 0.8256 1
O5 O 0.4992 0.0214 0.6079 1
O6 O 0.4991 0.1090 0.3875 1
O7 O 0.4989 0.1872 0.1855 1
O8 O 0.5003 0.3954 0.2597 1
O9 O 0.5007 0.4675 0.0452 1
O10 O 0.5016 0.3218 0.4677 1
O11 O 0.9961 0.2483 0.8307 1
O12 O 0.9971 0.0464 0.2451 1
O13 O 0.9982 0.3327 0.1241 1
O14 O 0.9989 0.1622 0.5269 1
O15 O 0.9991 0.4578 0.4067 1
```

Top 8 peaks for 15° ≤ 2θ ≤ 90°, in order of rising 2θ:
hkl, 2theta, I/Imax
0 2 3, 25.02, 50
1 1 2, 27.05, 81
0 4 1, 28.69, 100
1 1 -3, 31.21, 89
1 3 1, 31.31, 95
1 3 -2, 33.61, 40
2 0 0, 45.03, 38
1 7 -1, 55.55, 46

3.
Simulated X-ray powder pattern of DyNi3Sn2 for Cu Kα X-rays, from DFT lattice parameters and positions (GGA-PBE).
Kinematic intensities with the Lorentz-polarization factor, no thermal factor.

Crystal structure
```
data_DyNi3Sn2
_chemical_formula_sum 'Dy3 Ni9 Sn6'
_cell_length_a 9.4861
_cell_length_b 9.4861
_cell_length_c 4.0849
_cell_angle_alpha 90.00
_cell_angle_beta 90.00
_cell_angle_gamma 120.00
_symmetry_space_group_name_H-M 'P 6/m m m'
_symmetry_Int_Tables_number 191
_symmetry_space_group_name_Hall '-P 6 2'
loop_
_atom_site_label
_atom_site_type_symbol
_atom_site_fract_x
_atom_site_fract_y
_atom_site_fract_z
_atom_site_occupancy
Dy1 Dy 0.0000 0.0000 0.0000 1
Dy2 Dy 0.3333 0.6667 0.5000 1
Ni1 Ni 0.0000 0.5000 0.0000 1
Ni2 Ni 0.1829 0.3659 0.0000 1
Sn1 Sn 0.0000 0.3220 0.5000 1
```

Top 8 peaks for 15° ≤ 2θ ≤ 90°, in order of rising 2θ:
hkl, 2theta, I/Imax
2 0 1, 30.87, 24
3 0 0, 32.70, 70
2 1 1, 36.34, 39
3 0 1, 39.62, 100
2 2 1, 44.16, 34
0 0 2, 44.35, 33
3 0 2, 56.18, 31
6 0 2, 85.35, 25

4.
Simulated X-ray powder pattern of TlB3O5 for Cu Kα X-rays, from DFT lattice parameters and positions (GGA-PBE).
Kinematic intensities with the Lorentz-polarization factor, no thermal factor.

Crystal structure
```
data_TlB3O5
_chemical_formula_sum 'Tl8 B24 O40'
_cell_length_a 10.0609
_cell_length_b 8.9254
_cell_length_c 9.2191
_cell_angle_alpha 90.00
_cell_angle_beta 103.20
_cell_angle_gamma 90.00
_symmetry_space_group_name_H-M 'C 1 2/c 1'
_symmetry_Int_Tables_number 15
_symmetry_space_group_name_Hall '-C 2yc'
loop_
_atom_site_label
_atom_site_type_symbol
_atom_site_fract_x
_atom_site_fract_y
_atom_site_fract_z
_atom_site_occupancy
Tl1 Tl 0.0802 0.1507 0.4402 1
B1 B 0.0734 0.4617 0.9331 1
B2 B 0.1792 0.2514 0.8199 1
B3 B 0.2004 0.4903 0.2345 1
O1 O 0.0792 0.4884 0.0979 1
O2 O 0.0898 0.3041 0.9025 1
O3 O 0.1560 0.4404 0.3670 1
O4 O 0.1914 0.0992 0.8037 1
O5 O 0.2500 0.1475 0.2475 1
```

Top 8 peaks for 15° ≤ 2θ ≤ 90°, in order of rising 2θ:
hkl, 2theta, I/Imax
1 1 -1, 15.40, 100
2 2 -1, 27.33, 99
3 1 -1, 28.68, 58
2 0 2, 29.92, 83
1 1 -3, 30.86, 56
1 3 0, 31.42, 65
0 2 3, 36.16, 50
2 2 -3, 37.34, 45

5.
Simulated X-ray powder pattern of La3TaO7 for Cu Kα X-rays, from DFT lattice parameters and positions (GGA-PBE).
Kinematic intensities with the Lorentz-polarization factor, no thermal factor.

Crystal structure
```
data_La3TaO7
_chemical_formula_sum 'La6 Ta2 O14'
_cell_length_a 7.7608
_cell_length_b 11.1523
_cell_length_c 3.9685
_cell_angle_alpha 90.00
_cell_angle_beta 90.00
_cell_angle_gamma 90.00
_symmetry_space_group_name_H-M 'C m m m'
_symmetry_Int_Tables_number 65
_symmetry_space_group_name_Hall '-C 2 2'
loop_
_atom_site_label
_atom_site_type_symbol
_atom_site_fract_x
_atom_site_fract_y
_atom_site_fract_z
_atom_site_occupancy
La1 La 0.0000 0.0000 0.0000 1
La2 La 0.2500 0.2500 0.5000 1
Ta1 Ta 0.0000 0.5000 0.0000 1
O1 O 0.0000 0.1304 0.5000 1
O2 O 0.0000 0.5000 0.5000 1
O3 O 0.1902 0.3760 0.0000 1
```

Top 8 peaks for 15° ≤ 2θ ≤ 90°, in order of rising 2θ:
hkl, 2theta, I/Imax
0 2 1, 27.59, 94
2 2 0, 28.01, 100
0 4 0, 32.10, 24
2 0 1, 32.27, 45
0 0 2, 45.72, 17
2 4 1, 46.16, 59
2 2 2, 54.49, 45
4 2 1, 55.21, 28

6.
Simulated X-ray powder pattern of Sm2MgPd2 for Cu Kα X-rays, from DFT lattice parameters and positions (GGA-PBE).
Kinematic intensities with the Lorentz-polarization factor, no thermal factor.

Crystal structure
```
data_Sm2MgPd2
_chemical_formula_sum 'Sm4 Mg2 Pd4'
_cell_length_a 7.7103
_cell_length_b 7.7103
_cell_length_c 3.9741
_cell_angle_alpha 90.00
_cell_angle_beta 90.00
_cell_angle_gamma 90.00
_symmetry_space_group_name_H-M 'P 4/m b m'
_symmetry_Int_Tables_number 127
_symmetry_space_group_name_Hall '-P 4 2ab'
loop_
_atom_site_label
_atom_site_type_symbol
_atom_site_fract_x
_atom_site_fract_y
_atom_site_fract_z
_atom_site_occupancy
Sm1 Sm 0.1721 0.3279 0.0000 1
Mg1 Mg 0.0000 0.0000 0.5000 1
Pd1 Pd 0.1305 0.6305 0.5000 1
```

Top 8 peaks for 15° ≤ 2θ ≤ 90°, in order of rising 2θ:
hkl, 2theta, I/Imax
1 1 0, 16.26, 22
2 0 0, 23.07, 12
2 0 1, 32.35, 13
2 1 1, 34.44, 100
3 1 0, 36.86, 23
0 0 2, 45.66, 12
4 1 1, 54.21, 14
5 2 1, 69.82, 12

7.
Simulated X-ray powder pattern of SnH8C2I3N for Cu Kα X-rays, from DFT lattice parameters and positions (GGA-PBE).
Kinematic intensities with the Lorentz-polarization factor, no thermal factor.

Crystal structure
```
data_SnH8C2I3N
_chemical_formula_sum 'Sn4 H32 C8 I12 N4'
_cell_length_a 15.0315
_cell_length_b 9.1651
_cell_length_c 8.5617
_cell_angle_alpha 90.00
_cell_angle_beta 90.00
_cell_angle_gamma 90.00
_symmetry_space_group_name_H-M 'P n a 21'
_symmetry_Int_Tables_number 33
_symmetry_space_group_name_Hall 'P 2c -2n'
loop_
_atom_site_label
_atom_site_type_symbol
_atom_site_fract_x
_atom_site_fract_y
_atom_site_fract_z
_atom_site_occupancy
Sn1 Sn 0.0006 0.0043 0.0000 1
H1 H 0.0934 0.6119 0.8671 1
H2 H 0.1033 0.3988 0.5808 1
H3 H 0.1307 0.3512 0.8305 1
H4 H 0.1432 0.5814 0.6082 1
H5 H 0.1610 0.5310 0.0188 1
H6 H 0.2105 0.6444 0.8695 1
H7 H 0.2191 0.4386 0.5594 1
H8 H 0.2365 0.3942 0.8114 1
C1 C 0.1582 0.5650 0.8961 1
C2 C 0.1585 0.4654 0.6236 1
I1 I 0.0874 0.2360 0.1899 1
I2 I 0.0943 0.7745 0.2930 1
I3 I 0.1594 0.0131 0.7402 1
N1 N 0.1723 0.4344 0.7947 1
```

Top 8 peaks for 15° ≤ 2θ ≤ 90°, in order of rising 2θ:
hkl, 2theta, I/Imax
0 0 2, 20.75, 15
2 2 1, 25.02, 100
4 0 1, 25.88, 51
3 1 2, 29.12, 34
2 2 2, 30.96, 32
4 0 2, 31.68, 35
2 2 3, 39.07, 14
6 2 0, 41.06, 28